No. 1
Computed PXRD pattern of Ac3Ga9Os2 for a wavelength of 1.5418 Å, from a crystal structure in Alexandria, relaxed with PBE.
No peak broadening, texture or thermal motion is included.

Most intense lines, 10° ≤ 2θ ≤ 90°, by angle:
two_theta, d (Å), I (rel.)
21.86, 4.065, 33
32.52, 2.753, 15
33.85, 2.648, 100
34.00, 2.637, 42
34.89, 2.571, 44
36.57, 2.457, 36
39.46, 2.283, 16
40.42, 2.232, 38
53.82, 1.703, 23
65.53, 1.424, 16

Lattice parameters (Å, degrees): 8.564 8.564 8.564 149.79 109.84 78.25
Sites, in units of the cell vectors:
1 Ac 0.000 0.000 0.000
2 Ac 0.297 0.297 0.000
3 Ac 0.703 0.703 0.000
4 Ga 0.003 0.649 0.354
5 Ga 0.163 0.878 0.284
6 Ga 0.296 0.649 0.646
7 Ga 0.406 0.122 0.284
8 Ga 0.500 0.000 0.500
9 Ga 0.594 0.878 0.716
10 Ga 0.704 0.351 0.354
11 Ga 0.837 0.122 0.716
12 Ga 0.997 0.351 0.646
13 Os 0.323 0.500 0.823
14 Os 0.677 0.500 0.177

No. 2
Computed PXRD pattern of AcGa9Os2 for a wavelength of 1.5418 Å, from a crystal structure in Alexandria, relaxed with PBE.
No peak broadening, texture or thermal motion is included.

Most intense lines, 10° ≤ 2θ ≤ 90°, by angle:
two_theta, d (Å), I (rel.)
21.54, 4.125, 69
31.42, 2.847, 100
33.90, 2.645, 45
40.52, 2.226, 23
43.90, 2.063, 58
44.47, 2.037, 57
46.15, 1.967, 26
49.93, 1.827, 30
64.26, 1.449, 21
65.59, 1.423, 35

Lattice parameters (Å, degrees): 8.250 8.250 3.934 90.00 90.00 120.00
Sites, in units of the cell vectors:
1 Ac 0.000 0.000 0.000
2 Ga 0.000 0.500 0.000
3 Ga 0.204 0.408 0.500
4 Ga 0.204 0.796 0.500
5 Ga 0.408 0.204 0.500
6 Ga 0.500 0.000 0.000
7 Ga 0.500 0.500 0.000
8 Ga 0.592 0.796 0.500
9 Ga 0.796 0.204 0.500
10 Ga 0.796 0.592 0.500
11 Os 0.333 0.667 0.000
12 Os 0.667 0.333 0.000

No. 3
Computed PXRD pattern of Ac3GaOs3 for a wavelength of 1.5418 Å, from a crystal structure in Alexandria, relaxed with PBE.
No peak broadening, texture or thermal motion is included.

Most intense lines, 10° ≤ 2θ ≤ 90°, by angle:
two_theta, d (Å), I (rel.)
28.60, 3.122, 69
30.44, 2.937, 51
31.15, 2.871, 100
33.52, 2.673, 36
36.38, 2.470, 57
37.14, 2.421, 49
39.05, 2.307, 79
39.48, 2.283, 35
54.98, 1.670, 32
56.52, 1.628, 33

Lattice parameters (Å, degrees): 6.159 6.159 13.697 90.00 90.00 136.01
Sites, in units of the cell vectors:
1 Ac 0.029 0.971 0.750
2 Ac 0.264 0.736 0.107
3 Ac 0.264 0.736 0.393
4 Ac 0.736 0.264 0.607
5 Ac 0.736 0.264 0.893
6 Ac 0.971 0.029 0.250
7 Ga 0.000 0.000 0.000
8 Ga 0.000 0.000 0.500
9 Os 0.351 0.649 0.750
10 Os 0.441 0.559 0.586
11 Os 0.441 0.559 0.914
12 Os 0.559 0.441 0.086
13 Os 0.559 0.441 0.414
14 Os 0.649 0.351 0.250

No. 4
Computed PXRD pattern of AcGa4Os for a wavelength of 1.5418 Å, from a crystal structure in Alexandria, relaxed with PBE.
No peak broadening, texture or thermal motion is included.

Most intense lines, 10° ≤ 2θ ≤ 90°, by angle:
two_theta, d (Å), I (rel.)
22.41, 3.968, 100
24.91, 3.574, 43
26.43, 3.373, 52
29.28, 3.050, 33
37.72, 2.385, 65
42.40, 2.132, 57
44.32, 2.044, 35
45.74, 1.984, 35
54.41, 1.686, 27
58.03, 1.589, 44

Lattice parameters (Å, degrees): 4.770 4.770 7.149 90.00 90.00 90.00
Sites, in units of the cell vectors:
1 Ac 0.000 0.000 0.000
2 Ga 0.000 0.500 0.500
3 Ga 0.500 0.000 0.500
4 Ga 0.500 0.500 0.162
5 Ga 0.500 0.500 0.838
6 Os 0.500 0.500 0.500

No. 5
Computed PXRD pattern of AcGa11Os for a wavelength of 1.5418 Å, from a crystal structure in Alexandria, relaxed with PBE.
No peak broadening, texture or thermal motion is included.

Most intense lines, 10° ≤ 2θ ≤ 90°, by angle:
two_theta, d (Å), I (rel.)
14.10, 6.281, 22
19.32, 4.593, 29
25.56, 3.485, 34
27.94, 3.193, 23
32.69, 2.740, 49
35.22, 2.548, 47
37.31, 2.410, 85
39.18, 2.299, 100
40.28, 2.239, 45
50.75, 1.799, 25

Lattice parameters (Å, degrees): 6.804 6.804 7.948 97.18 97.18 134.77
Sites, in units of the cell vectors:
1 Ac 0.000 0.000 0.000
2 Ga 0.000 0.000 0.500
3 Ga 0.000 0.500 0.000
4 Ga 0.027 0.377 0.370
5 Ga 0.270 0.493 0.761
6 Ga 0.377 0.027 0.370
7 Ga 0.493 0.270 0.761
8 Ga 0.500 0.000 0.000
9 Ga 0.507 0.730 0.239
10 Ga 0.623 0.973 0.630
11 Ga 0.730 0.507 0.239
12 Ga 0.973 0.623 0.630
13 Os 0.500 0.500 0.500

No. 6
Computed PXRD pattern of Ac2Ga3Os for a wavelength of 1.5418 Å, from a crystal structure in Alexandria, relaxed with PBE.
No peak broadening, texture or thermal motion is included.

Most intense lines, 10° ≤ 2θ ≤ 90°, by angle:
two_theta, d (Å), I (rel.)
11.36, 7.788, 15
23.27, 3.823, 15
30.51, 2.930, 50
30.84, 2.899, 100
40.37, 2.234, 39
40.56, 2.224, 21
41.15, 2.194, 20
52.08, 1.756, 23
58.56, 1.576, 27
67.67, 1.385, 15

Lattice parameters (Å, degrees): 4.388 4.448 7.788 90.00 90.00 90.00
Sites, in units of the cell vectors:
1 Ac 0.000 0.000 0.000
2 Ac 0.500 0.000 0.465
3 Ga 0.000 0.500 0.313
4 Ga 0.000 0.500 0.650
5 Ga 0.500 0.500 0.823
6 Os 0.500 0.500 0.151

No. 7
Computed PXRD pattern of Ac3Ga7Os2 for a wavelength of 1.5418 Å, from a crystal structure in Alexandria, relaxed with PBE.
No peak broadening, texture or thermal motion is included.

Most intense lines, 10° ≤ 2θ ≤ 90°, by angle:
two_theta, d (Å), I (rel.)
25.30, 3.520, 100
26.27, 3.393, 71
33.60, 2.667, 32
34.63, 2.590, 34
37.49, 2.399, 74
43.98, 2.059, 24
45.77, 1.982, 43
51.95, 1.760, 43
54.06, 1.696, 26
65.81, 1.419, 21

Lattice parameters (Å, degrees): 13.388 13.388 13.388 159.35 159.35 29.36
Sites, in units of the cell vectors:
1 Ac 0.000 0.000 0.000
2 Ac 0.187 0.187 0.000
3 Ac 0.813 0.813 0.000
4 Ga 0.094 0.594 0.500
5 Ga 0.308 0.308 0.000
6 Ga 0.406 0.906 0.500
7 Ga 0.500 0.500 0.000
8 Ga 0.594 0.094 0.500
9 Ga 0.692 0.692 0.000
10 Ga 0.906 0.406 0.500
11 Os 0.407 0.407 0.000
12 Os 0.593 0.593 0.000

No. 8
Computed PXRD pattern of Ac5GaOs2 for a wavelength of 1.5418 Å, from a crystal structure in Alexandria, relaxed with PBE.
No peak broadening, texture or thermal motion is included.

Most intense lines, 10° ≤ 2θ ≤ 90°, by angle:
two_theta, d (Å), I (rel.)
11.72, 7.553, 30
30.10, 2.969, 100
30.77, 2.906, 16
32.19, 2.781, 55
34.51, 2.599, 41
38.57, 2.334, 23
45.92, 1.976, 18
53.13, 1.724, 19
60.61, 1.528, 15
62.66, 1.483, 16

Lattice parameters (Å, degrees): 9.530 9.530 9.530 128.91 128.91 75.16
Sites, in units of the cell vectors:
1 Ac 0.000 0.000 0.000
2 Ac 0.041 0.541 0.854
3 Ac 0.187 0.041 0.500
4 Ac 0.313 0.813 0.854
5 Ac 0.459 0.313 0.500
6 Ac 0.500 0.500 0.000
7 Ac 0.541 0.687 0.500
8 Ac 0.687 0.187 0.146
9 Ac 0.813 0.959 0.500
10 Ac 0.959 0.459 0.146
11 Ga 0.250 0.250 0.000
12 Ga 0.750 0.750 0.000
13 Os 0.112 0.388 0.500
14 Os 0.388 0.888 0.276
15 Os 0.612 0.112 0.724
16 Os 0.888 0.612 0.500

No. 9
Computed PXRD pattern of Ac3GaP2Pt6 for a wavelength of 1.5418 Å, from a crystal structure in Alexandria, relaxed with PBE.
No peak broadening, texture or thermal motion is included.

Most intense lines, 10° ≤ 2θ ≤ 90°, by angle:
two_theta, d (Å), I (rel.)
18.03, 4.919, 23
19.99, 4.442, 26
27.19, 3.279, 21
32.70, 2.739, 36
36.19, 2.482, 46
37.26, 2.413, 100
40.62, 2.221, 64
40.93, 2.205, 33
62.11, 1.495, 19
64.88, 1.437, 25

Lattice parameters (Å, degrees): 5.749 5.749 9.838 90.00 90.00 120.00
Sites, in units of the cell vectors:
1 Ac 0.000 0.000 0.000
2 Ac 0.333 0.667 0.597
3 Ac 0.667 0.333 0.403
4 Ga 0.000 0.000 0.500
5 P 0.333 0.667 0.114
6 P 0.667 0.333 0.886
7 Pt 0.165 0.330 0.285
8 Pt 0.165 0.835 0.285
9 Pt 0.330 0.165 0.715
10 Pt 0.670 0.835 0.285
11 Pt 0.835 0.165 0.715
12 Pt 0.835 0.670 0.715

No. 10
Computed PXRD pattern of Ac2PaGaPt6 for a wavelength of 1.5418 Å, from a crystal structure in Alexandria, relaxed with PBE.
No peak broadening, texture or thermal motion is included.

Most intense lines, 10° ≤ 2θ ≤ 90°, by angle:
two_theta, d (Å), I (rel.)
26.67, 3.343, 50
27.16, 3.284, 100
27.71, 3.219, 32
37.09, 2.424, 80
37.61, 2.392, 87
38.53, 2.337, 88
39.35, 2.290, 40
42.45, 2.130, 41
44.98, 2.015, 28
54.99, 1.670, 30

Lattice parameters (Å, degrees): 7.042 7.042 8.915 129.06 129.06 47.47
Sites, in units of the cell vectors:
1 Ac 0.232 0.232 0.182
2 Ac 0.768 0.768 0.818
3 Pa 0.000 0.000 0.500
4 Ga 0.500 0.500 0.000
5 Pt 0.251 0.737 0.746
6 Pt 0.255 0.255 0.616
7 Pt 0.263 0.749 0.254
8 Pt 0.737 0.251 0.746
9 Pt 0.745 0.745 0.384
10 Pt 0.749 0.263 0.254

No. 11
Computed PXRD pattern of AcPaGa2S8 for a wavelength of 1.5418 Å, from a crystal structure in Alexandria, relaxed with PBE.
No peak broadening, texture or thermal motion is included.

Most intense lines, 10° ≤ 2θ ≤ 90°, by angle:
two_theta, d (Å), I (rel.)
15.33, 5.781, 30
23.62, 3.767, 100
27.99, 3.187, 14
32.07, 2.791, 16
37.16, 2.419, 13
38.56, 2.335, 40
40.00, 2.254, 19
44.42, 2.040, 20
46.98, 1.934, 34
61.33, 1.512, 24

Lattice parameters (Å, degrees): 8.210 8.210 8.210 134.31 134.31 66.61
Sites, in units of the cell vectors:
1 Ac 0.000 0.000 0.000
2 Pa 0.250 0.750 0.500
3 Ga 0.500 0.500 0.000
4 Ga 0.750 0.250 0.500
5 S 0.016 0.073 0.429
6 S 0.252 0.663 0.104
7 S 0.337 0.441 0.589
8 S 0.413 0.984 0.058
9 S 0.559 0.148 0.896
10 S 0.644 0.587 0.571
11 S 0.852 0.748 0.411
12 S 0.927 0.356 0.942

No. 12
Computed PXRD pattern of Ac4GaPb for a wavelength of 1.5418 Å, from a crystal structure in Alexandria, relaxed with PBE.
No peak broadening, texture or thermal motion is included.

Most intense lines, 10° ≤ 2θ ≤ 90°, by angle:
two_theta, d (Å), I (rel.)
19.56, 4.538, 20
22.46, 3.959, 16
22.71, 3.915, 33
32.15, 2.784, 100
32.34, 2.769, 51
39.73, 2.269, 15
46.38, 1.958, 19
57.21, 1.610, 18
57.56, 1.601, 39
76.97, 1.239, 18

Lattice parameters (Å, degrees): 5.537 5.537 7.917 90.00 90.00 90.00
Sites, in units of the cell vectors:
1 Ac 0.000 0.500 0.231
2 Ac 0.000 0.500 0.769
3 Ac 0.500 0.000 0.231
4 Ac 0.500 0.000 0.769
5 Ga 0.000 0.000 0.000
6 Pb 0.500 0.500 0.500

No. 13
Computed PXRD pattern of Ac6GaPb6 for a wavelength of 1.5418 Å, from a crystal structure in Alexandria, relaxed with PBE.
No peak broadening, texture or thermal motion is included.

Most intense lines, 10° ≤ 2θ ≤ 90°, by angle:
two_theta, d (Å), I (rel.)
25.30, 3.520, 25
29.30, 3.049, 30
29.91, 2.987, 31
31.68, 2.824, 29
33.40, 2.683, 100
43.69, 2.072, 16
51.95, 1.760, 26
57.54, 1.602, 16
62.14, 1.494, 27
63.18, 1.472, 17

Lattice parameters (Å, degrees): 7.040 7.040 11.296 90.00 90.00 120.00
Sites, in units of the cell vectors:
1 Ac 0.000 0.000 0.215
2 Ac 0.000 0.000 0.785
3 Ac 0.333 0.667 0.000
4 Ac 0.333 0.667 0.500
5 Ac 0.667 0.333 0.000
6 Ac 0.667 0.333 0.500
7 Ga 0.000 0.000 0.500
8 Pb 0.000 0.500 0.249
9 Pb 0.000 0.500 0.751
10 Pb 0.500 0.000 0.249
11 Pb 0.500 0.000 0.751
12 Pb 0.500 0.500 0.249
13 Pb 0.500 0.500 0.751